Theoretical XRD peak list of Ca2CrWO6 for CuKα, from DFT lattice parameters and positions (GGA+U).

Crystal structure
Lattice parameters (Å, degrees): 5.510 5.515 5.533 91.36 118.90 119.27
Atoms (fractional coordinates):
Ca1 0.000 0.000 0.000
Ca2 0.036 0.537 0.500
Cr1 0.507 0.273 0.742
W1 0.507 0.773 0.242
O1 0.002 0.559 0.056
O2 0.009 0.990 0.431
O3 0.407 0.432 0.994
O4 0.481 0.960 0.925
O5 0.534 0.589 0.559
O6 0.587 0.114 0.472

Most intense lines, 2θ = 10–90°, by intensity:
2θ 32.49, I = 100, hkl -2 1 1; 2θ 32.33, I = 97, hkl 1 0 -2; 2θ 19.64, I = 93, hkl 0 1 0; 2θ 22.48, I = 93, hkl 1 0 0; 2θ 45.89, I = 64, hkl 2 0 0; 2θ 31.89, I = 50, hkl 1 -1 1; 2θ 32.12, I = 41, hkl 1 1 -1; 2θ 23.04, I = 40, hkl -1 1 1; 2θ 57.49, I = 33, hkl 2 1 -3; 2θ 19.49, I = 32, hkl 0 0 1; 2θ 57.32, I = 30, hkl 1 2 0; 2θ 47.09, I = 27, hkl -2 2 2